1.
Theoretical XRD peak list of La2TlCd for Cu Kα, 1.54184 Å, from DFT lattice parameters and positions (GGA-PBE).

Atomic structure:
```
16
Lattice="7.949 0.000 0.000 0.000 7.949 0.000 0.000 0.000 7.949" Properties=species:S:1:pos:R:3 pbc="T T T"
La 1.987 1.987 1.987
La 1.987 1.987 5.962
La 1.987 5.962 1.987
La 1.987 5.962 5.962
La 5.962 1.987 1.987
La 5.962 1.987 5.962
La 5.962 5.962 1.987
La 5.962 5.962 5.962
Tl 0.000 0.000 0.000
Tl 0.000 3.974 3.974
Tl 3.974 0.000 3.974
Tl 3.974 3.974 0.000
Cd 0.000 0.000 3.974
Cd 0.000 3.974 0.000
Cd 3.974 0.000 0.000
Cd 3.974 3.974 3.974
```

Main lines, in order of rising 2θ (10° ≤ 2θ ≤ 90°):
d [Å]	I_rel
4.589	4
2.810	100
2.397	3
1.987	18
1.824	1
1.623	39
1.405	12
1.344	1
1.257	16
1.147	4


2.
Theoretical XRD peak list of Li2Cd for Cu Kα, 1.54184 Å, from DFT lattice parameters and positions (GGA-PBE).

Atomic structure:
```
12
Lattice="0.000 5.046 5.046 5.046 0.000 5.046 5.046 5.046 0.000" Properties=species:S:1:pos:R:3 pbc="T T T"
Li 7.804 4.810 4.810
Li 2.287 2.287 2.287
Li 5.282 5.282 2.287
Li 5.282 2.287 5.282
Li 4.810 7.804 4.810
Li 4.810 4.810 7.804
Li 7.804 7.804 7.804
Li 2.287 5.282 5.282
Cd 5.046 2.523 2.523
Cd 2.523 5.046 2.523
Cd 2.523 2.523 5.046
Cd 5.046 5.046 5.046
```

Main lines, in order of rising 2θ (10° ≤ 2θ ≤ 90°):
d [Å]	I_rel
5.826	100
3.043	70
2.913	69
2.523	47
2.315	35
1.942	23
1.784	31
1.706	22
1.521	29
1.314	16


3.
Theoretical XRD peak list of LiCd3 for Cu Kα, 1.54184 Å, from DFT lattice parameters and positions (GGA-PBE).

Atomic structure:
```
16
Lattice="6.899 0.000 0.000 0.000 6.899 0.000 0.000 0.000 6.899" Properties=species:S:1:pos:R:3 pbc="T T T"
Li 0.000 0.000 0.000
Li 0.000 3.449 3.449
Li 3.449 0.000 3.449
Li 3.449 3.449 0.000
Cd 0.000 0.000 3.449
Cd 0.000 3.449 0.000
Cd 1.725 1.725 1.725
Cd 1.725 1.725 5.174
Cd 1.725 5.174 1.725
Cd 1.725 5.174 5.174
Cd 3.449 0.000 0.000
Cd 3.449 3.449 3.449
Cd 5.174 1.725 1.725
Cd 5.174 1.725 5.174
Cd 5.174 5.174 1.725
Cd 5.174 5.174 5.174
```

Main lines, in order of rising 2θ (10° ≤ 2θ ≤ 90°):
d [Å]	I_rel
3.983	24
3.449	13
2.439	100
2.080	12
1.725	17
1.583	5
1.543	4
1.408	33
1.219	10
1.091	15


4.
Theoretical XRD peak list of LiCd for Cu Kα, 1.54184 Å, from DFT lattice parameters and positions (GGA-PBE).

Atomic structure:
```
16
Lattice="6.747 0.000 0.000 0.000 6.747 0.000 0.000 0.000 6.747" Properties=species:S:1:pos:R:3 pbc="T T T"
Li 0.843 0.843 0.843
Li 0.843 4.217 4.217
Li 2.530 2.530 5.903
Li 2.530 5.903 2.530
Li 4.217 0.843 4.217
Li 4.217 4.217 0.843
Li 5.903 2.530 2.530
Li 5.903 5.903 5.903
Cd 0.843 0.843 4.217
Cd 0.843 4.217 0.843
Cd 2.530 2.530 2.530
Cd 2.530 5.903 5.903
Cd 4.217 0.843 0.843
Cd 4.217 4.217 4.217
Cd 5.903 2.530 5.903
Cd 5.903 5.903 2.530
```

Main lines, in order of rising 2θ (10° ≤ 2θ ≤ 90°):
d [Å]	I_rel
3.895	100
2.385	97
2.034	50
1.687	16
1.548	20
1.377	32
1.298	14
1.193	10
1.140	15